Record 1
Diffraction record for NaCaZrSbO6. The X-ray diffraction stick pattern is theoretical, not measured: it uses DFT lattice parameters and positions (GGA-PBE) and Cu Kα X-rays.
Peak positions follow from Bragg's law for the DFT cell and can differ from measured ones.

abc: 8.1209 8.1209 8.1209
angles: 90.00 90.00 90.00
Space group F-43m (No. 216)
One atom of each set of equivalent atoms:
Na 0.0000 0.0000 0.0000 (multiplicity 4)
Ca 0.0000 0.0000 0.5000 (multiplicity 4)
Zr 0.2500 0.2500 0.2500 (multiplicity 4)
Sb 0.2500 0.2500 0.7500 (multiplicity 4)
O 0.0062 0.2500 0.7500 (multiplicity 24)

Most intense lines, 2θ = 15–90°, by angle:
- d 4.060, 2θ = 21.9°, I = 66.8, hkl 2 0 0
- d 2.871, 2θ = 31.2°, I = 100.0, hkl 2 2 0
- d 2.030, 2θ = 44.6°, I = 41.1, hkl 4 0 0
- d 1.816, 2θ = 50.2°, I = 26.7, hkl 4 2 0
- d 1.658, 2θ = 55.4°, I = 38.6, hkl 4 2 2
- d 1.436, 2θ = 65.0°, I = 23.6, hkl 4 4 0
- d 1.353, 2θ = 69.4°, I = 12.1, hkl 6 0 0
- d 1.284, 2θ = 73.8°, I = 16.4, hkl 6 2 0
- d 1.172, 2θ = 82.2°, I = 7.6, hkl 4 4 4
- d 1.126, 2θ = 86.4°, I = 5.5, hkl 6 4 0

Record 2
Diffraction record for ErAl2Zn10. The X-ray diffraction stick pattern is theoretical, not measured: it uses DFT lattice parameters and positions (GGA-PBE) and Cu Kα X-rays.
Peak positions follow from Bragg's law for the DFT cell and can differ from measured ones.

abc: 5.3773 6.7600 6.7785
angles: 81.25 66.84 67.16
Space group P-1 (No. 2)
One atom of each set of equivalent atoms:
Er 0.0000 0.0000 0.0000 (multiplicity 1)
Al 0.0000 0.0000 0.5000 (multiplicity 1)
Al 0.5000 0.0000 0.5000 (multiplicity 1)
Zn 0.0000 0.5000 0.0000 (multiplicity 1)
Zn 0.0008 0.3541 0.6475 (multiplicity 2)
Zn 0.2838 0.2165 0.2122 (multiplicity 2)
Zn 0.3533 0.6452 0.6471 (multiplicity 2)
Zn 0.4972 0.2169 0.7875 (multiplicity 2)
Zn 0.5000 0.5000 0.0000 (multiplicity 1)

Most intense lines, 2θ = 15–90°, by angle:
- d 2.786, 2θ = 32.1°, I = 31.5, hkl 0 2 -1
- d 2.689, 2θ = 33.3°, I = 68.5, hkl 2 1 1
- d 2.586, 2θ = 34.7°, I = 62.8, hkl 1 -1 2
- d 2.570, 2θ = 34.9°, I = 62.0, hkl 1 2 2
- d 2.303, 2θ = 39.1°, I = 69.0, hkl 2 0 0
- d 2.288, 2θ = 39.4°, I = 69.3, hkl 2 2 2
- d 2.232, 2θ = 40.4°, I = 94.0, hkl 1 -2 1
- d 2.225, 2θ = 40.5°, I = 61.9, hkl 1 0 3
- d 2.218, 2θ = 40.7°, I = 92.7, hkl 1 3 1
- d 2.203, 2θ = 41.0°, I = 100.0, hkl 0 2 -2

Record 3
Diffraction record for La6Mg23. The X-ray diffraction stick pattern is theoretical, not measured: it uses DFT lattice parameters and positions (GGA-PBE) and Cu Kα X-rays.
Peak positions follow from Bragg's law for the DFT cell and can differ from measured ones.

abc: 14.5779 14.5779 14.5779
angles: 90.00 90.00 90.00
Space group Fm-3m (No. 225)
One atom of each set of equivalent atoms:
La 0.0000 0.0000 0.2058 (multiplicity 24)
Mg 0.0000 0.0000 0.5000 (multiplicity 4)
Mg 0.0000 0.2500 0.2500 (multiplicity 24)
Mg 0.1213 0.1213 0.3787 (multiplicity 32)
Mg 0.1716 0.1716 0.1716 (multiplicity 32)

Most intense lines, 2θ = 15–90°, by angle:
- d 4.208, 2θ = 21.1°, I = 61.4, hkl 2 2 2
- d 3.644, 2θ = 24.4°, I = 34.0, hkl 4 0 0
- d 3.344, 2θ = 26.7°, I = 36.1, hkl 3 3 1
- d 2.976, 2θ = 30.0°, I = 39.7, hkl 4 2 2
- d 2.806, 2θ = 31.9°, I = 100.0, hkl 3 3 3
- d 2.577, 2θ = 34.8°, I = 75.0, hkl 4 4 0
- d 2.041, 2θ = 44.4°, I = 27.7, hkl 5 5 1
- d 1.898, 2θ = 47.9°, I = 27.0, hkl 7 3 1
- d 1.718, 2θ = 53.3°, I = 31.0, hkl 8 2 2
- d 1.409, 2θ = 66.3°, I = 27.4, hkl 7 7 3